Pm2ZrCuSe5: computed powder diffraction line list (copper Kα), based on a DFT-relaxed cell (PBE, Alexandria).
Kinematic intensities with the Lorentz-polarization factor, no thermal factor.

Principal peaks in the range 2θ from 10° to 90°, sorted by position:
24.38°, intensity 19.9; 31.64°, intensity 35.7; 32.13°, intensity 100.0; 34.23°, intensity 19.1; 37.43°, intensity 51.3; 45.78°, intensity 27.7

Atomic structure:
```
18
Lattice="1.9818 -8.7273 0.0000 1.9818 8.7273 0.0000 0.0000 0.0000 12.0596" Properties=species:S:1:pos:R:3 pbc="T T T"
Pm 1.9818 6.7298 6.0298
Pm 1.9818 6.5377 1.5064
Pm 1.9818 -6.5377 7.5362
Pm 1.9818 -6.7298 0.0000
Zr 1.9818 5.4752 9.9175
Zr 1.9818 -5.4752 3.8877
Cu 1.9818 1.1675 2.9954
Cu 1.9818 -1.1675 9.0252
Se 1.9818 8.0259 10.3255
Se 1.9818 3.6494 5.7912
Se 1.9818 3.3838 1.9395
Se 1.9818 2.6323 9.8261
Se 1.9818 0.0662 6.9655
Se 1.9818 -0.0662 0.9357
Se 1.9818 -2.6323 3.7963
Se 1.9818 -3.3838 7.9693
Se 1.9818 -3.6494 11.8210
Se 1.9818 -8.0259 4.2957
```

Pm3Cu4Si2: computed powder diffraction line list (copper Kα), based on a DFT-relaxed cell (PBE, Alexandria).
Kinematic intensities with the Lorentz-polarization factor, no thermal factor.

Principal peaks in the range 2θ from 10° to 90°, sorted by position:
24.34°, intensity 22.5; 33.58°, intensity 49.6; 33.87°, intensity 100.0; 42.36°, intensity 42.7; 55.69°, intensity 22.9; 65.44°, intensity 22.6

Atomic structure:
```
9
Lattice="5.3424 -2.1004 0.0000 5.3424 2.1004 0.0000 -2.4179 0.0000 8.0011" Properties=species:S:1:pos:R:3 pbc="T T T"
Pm 0.0000 0.0000 0.0000
Pm 2.7632 0.0000 2.6829
Pm 5.5037 0.0000 5.3183
Cu -0.3216 0.0000 3.0917
Cu 0.7529 0.0000 7.5236
Cu 7.5140 0.0000 0.4776
Cu 8.5884 0.0000 4.9094
Si 2.4374 0.0000 5.7683
Si 5.8295 0.0000 2.2328
```

PmCu2Si2: computed powder diffraction line list (copper Kα), based on a DFT-relaxed cell (PBE, Alexandria).
Kinematic intensities with the Lorentz-polarization factor, no thermal factor.

Principal peaks in the range 2θ from 10° to 90°, sorted by position:
23.67°, intensity 32.8; 34.92°, intensity 38.3; 36.12°, intensity 100.0; 44.65°, intensity 33.0; 51.11°, intensity 22.8; 64.94°, intensity 23.8

Atomic structure:
```
5
Lattice="-2.0297 2.0297 4.9780 2.0297 -2.0297 4.9780 2.0297 2.0297 -4.9780" Properties=species:S:1:pos:R:3 pbc="T T T"
Pm 0.0000 0.0000 0.0000
Cu 2.0297 0.0000 2.4890
Cu 0.0000 2.0297 2.4890
Si 0.0000 0.0000 3.7778
Si 0.0000 0.0000 6.1783
```

PmCu5Si2: computed powder diffraction line list (copper Kα), based on a DFT-relaxed cell (PBE, Alexandria).
Kinematic intensities with the Lorentz-polarization factor, no thermal factor.

Principal peaks in the range 2θ from 10° to 90°, sorted by position:
33.00°, intensity 27.0; 36.55°, intensity 100.0; 37.26°, intensity 99.3; 46.37°, intensity 36.1; 47.94°, intensity 41.0; 68.91°, intensity 24.9

Atomic structure:
```
8
Lattice="-1.9580 3.3641 4.5959 1.9580 -3.3641 4.5959 1.9580 3.3641 -4.5959" Properties=species:S:1:pos:R:3 pbc="T T T"
Pm 0.0000 0.0000 0.0000
Cu 1.9580 2.1339 -1.3528
Cu 1.9580 2.1339 1.3528
Cu 0.0000 3.3641 0.0000
Cu 0.0000 1.2302 3.2432
Cu 0.0000 1.2302 5.9487
Si 1.9580 0.0000 2.3057
Si 0.0000 3.3641 2.2902
```

Pm3CuSi3: computed powder diffraction line list (copper Kα), based on a DFT-relaxed cell (PBE, Alexandria).
Kinematic intensities with the Lorentz-polarization factor, no thermal factor.

Principal peaks in the range 2θ from 10° to 90°, sorted by position:
26.78°, intensity 52.5; 32.13°, intensity 100.0; 32.34°, intensity 60.1; 41.95°, intensity 23.7; 50.47°, intensity 20.7; 56.85°, intensity 23.8

Atomic structure:
```
7
Lattice="-1.9970 2.1538 9.0341 1.9970 -2.1538 9.0341 1.9970 2.1538 -9.0341" Properties=species:S:1:pos:R:3 pbc="T T T"
Pm 0.0000 0.0000 0.0000
Pm 1.9970 0.0000 3.3567
Pm 0.0000 0.0000 6.6394
Cu 0.0000 2.1538 2.1145
Si 0.0000 0.0000 9.8674
Si 0.0000 2.1538 4.4143
Si 0.0000 0.0000 14.9013
```

PmCu3Si2: computed powder diffraction line list (copper Kα), based on a DFT-relaxed cell (PBE, Alexandria).
Kinematic intensities with the Lorentz-polarization factor, no thermal factor.

Principal peaks in the range 2θ from 10° to 90°, sorted by position:
25.66°, intensity 25.0; 34.03°, intensity 28.4; 36.59°, intensity 100.0; 37.80°, intensity 22.4; 40.34°, intensity 66.0; 45.73°, intensity 33.5

Atomic structure:
```
12
Lattice="7.4028 -1.9841 0.0000 7.4028 1.9841 0.0000 -3.0236 0.0000 6.5131" Properties=species:S:1:pos:R:3 pbc="T T T"
Pm 2.0235 0.0000 0.4696
Pm 9.7586 0.0000 6.0434
Cu -0.5922 0.0000 2.3994
Cu 3.0013 0.0000 3.5968
Cu 5.0041 0.0000 2.0975
Cu 6.7780 0.0000 4.4156
Cu 8.7808 0.0000 2.9162
Cu 12.3743 0.0000 4.1137
Si 0.7448 0.0000 4.4075
Si 4.6193 0.0000 5.3663
Si 7.1628 0.0000 1.1468
Si 11.0373 0.0000 2.1056
```